[1]
This entry pairs a crystal structure of Mg2Sn3O8 with its theoretical PXRD pattern. Radiation: Cu Kα (λ = 1.5418 Å). Structure: a structure optimized by DFT (GGA-PBE).
Lines closer than 0.1° are merged.

Peak list (8 most intense, 15 to 90 degrees two-theta, low angle first)
d_spacing	2θ (°)	intensity	index
5.041	17.59	100	2 0 0
3.318	26.87	23	1 1 1
2.644	33.90	28	0 2 1
2.552	35.17	53	2 2 -1
2.464	36.46	25	0 0 2
2.030	44.65	36	4 2 -1
1.671	54.93	22	4 2 1
1.533	60.37	21	2 2 -3

```
data_Mg2Sn3O8
_space_group_name_H-M_alt 'C 1 2/m 1'
_space_group_IT_number 12
_cell_length_a 10.7976
_cell_length_b 6.2675
_cell_length_c 5.2781
_cell_angle_alpha 90.00
_cell_angle_beta 110.96
_cell_angle_gamma 90.00
loop_
_space_group_symop_operation_xyz
'x,y,z'
'-x,-y,-z'
'-x,y,-z'
'x,-y,z'
'x+1/2,y+1/2,z'
'-x+1/2,-y+1/2,-z'
'-x+1/2,y+1/2,-z'
'x+1/2,-y+1/2,z'
loop_
_atom_site_label
_atom_site_fract_x
_atom_site_fract_y
_atom_site_fract_z
Mg1 0.2143 0.0000 0.1450
Sn1 0.0000 0.2362 0.5000
Sn2 0.0000 0.5000 0.0000
O1 0.1095 0.0000 0.4101
O2 0.1098 0.5000 0.4263
O3 0.1202 0.2739 0.9088
```



[2]
This entry pairs a crystal structure of Pu2Si3Pt3 with its theoretical PXRD pattern. Radiation: Cu Kα (λ = 1.5418 Å). Structure: a structure optimized by DFT (GGA-PBE).
Lines closer than 0.1° are merged.

Peak list (8 most intense, 15 to 90 degrees two-theta, low angle first)
d_spacing	2θ (°)	intensity	index
4.938	17.96	100	1 0 0
3.955	22.48	18	1 0 3
3.492	25.51	47	1 1 0
2.469	36.39	17	2 0 0
2.211	40.82	47	2 1 0
2.019	44.88	18	1 1 8
1.747	52.36	16	2 2 0
1.648	55.78	17	2 1 8

```
data_Pu2Si3Pt3
_space_group_name_H-M_alt 'P 4/m m m'
_space_group_IT_number 123
_space_group_name_Hall '-P 4 2'
_cell_length_a 4.9379
_cell_length_b 4.9379
_cell_length_c 19.8082
_cell_angle_alpha 90.00
_cell_angle_beta 90.00
_cell_angle_gamma 90.00
loop_
_atom_site_label
_atom_site_fract_x
_atom_site_fract_y
_atom_site_fract_z
Pu1 0.0000 0.0000 0.2426
Si1 0.0000 0.0000 0.0000
Si2 0.0000 0.0000 0.3856
Pt1 0.0000 0.0000 0.1152
Pt2 0.0000 0.0000 0.5000
```



[3]
This entry pairs a crystal structure of La3Al4Si6 with its theoretical PXRD pattern. Radiation: Cu Kα (λ = 1.5418 Å). Structure: a structure optimized by DFT (GGA-PBE).
Lines closer than 0.1° are merged.

Peak list (8 most intense, 15 to 90 degrees two-theta, low angle first)
d_spacing	2θ (°)	intensity	index
3.640	24.45	38	1 0 0
3.387	26.31	38	0 1 2
3.134	28.48	81	0 1 3
2.594	34.58	100	0 1 5
2.102	43.04	56	1 1 0
1.633	56.35	24	2 0 5
1.555	59.46	26	1 1 8
1.289	73.44	22	1 2 5

```
data_La3Al4Si6
_space_group_name_H-M_alt 'P -3 m 1'
_space_group_IT_number 164
_space_group_name_Hall '-P 3 2"'
_cell_length_a 4.2033
_cell_length_b 4.2033
_cell_length_c 18.4811
_cell_angle_alpha 90.00
_cell_angle_beta 90.00
_cell_angle_gamma 120.00
loop_
_atom_site_label
_atom_site_fract_x
_atom_site_fract_y
_atom_site_fract_z
La1 0.0000 0.0000 0.0000
La2 0.0000 0.0000 0.3878
Al1 0.3333 0.6667 0.2438
Al2 0.3333 0.6667 0.8578
Si1 0.3333 0.6667 0.1045
Si2 0.3333 0.6667 0.4968
Si3 0.3333 0.6667 0.7201
```